No. 1
For HoCd3F8, a PBE-relaxed structure gives the theoretical powder X-ray diffraction pattern in this record (Cu Kα).
Intensities are scaled so that the largest is 100.

Cell and atoms:
```
HoCd3F8
1.0
5.571 0.000 0.000
0.000 5.571 0.000
0.000 0.000 5.571
Ho Cd F
1 3 8
Cartesian
0.000 0.000 0.000 Ho
0.000 2.786 2.786 Cd
2.786 0.000 2.786 Cd
2.786 2.786 0.000 Cd
1.334 1.334 1.334 F
1.334 1.334 4.238 F
1.334 4.238 1.334 F
1.334 4.238 4.238 F
4.238 1.334 1.334 F
4.238 1.334 4.238 F
4.238 4.238 1.334 F
4.238 4.238 4.238 F
```

Most intense lines, 15° ≤ 2θ ≤ 90°, most intense first:
Position (°2θ)	I_rel
27.7	100
46.1	61
54.6	44
32.1	24
85.4	18
74.2	17
76.5	10
67.2	9
57.3	7
15.9	4

No. 2
For Cd2InF6, a PBE-relaxed structure gives the theoretical powder X-ray diffraction pattern in this record (Cu Kα).
Intensities are scaled so that the largest is 100.

Cell and atoms:
```
Cd2InF6
1.0
5.252 0.000 0.000
0.000 5.252 0.000
0.000 0.000 10.701
Cd In F
4 2 12
Cartesian
0.000 0.000 1.777 Cd
0.000 0.000 8.924 Cd
2.626 2.626 3.574 Cd
2.626 2.626 7.127 Cd
0.000 0.000 5.350 In
2.626 2.626 0.000 In
0.998 0.998 3.646 F
0.998 0.998 7.055 F
1.070 1.070 0.000 F
1.556 3.697 5.350 F
1.628 3.624 1.704 F
1.628 3.624 8.997 F
3.624 1.628 1.704 F
3.624 1.628 8.997 F
3.697 1.556 5.350 F
4.182 4.182 0.000 F
4.254 4.254 3.646 F
4.254 4.254 7.055 F
```

Most intense lines, 15° ≤ 2θ ≤ 90°, most intense first:
Position (°2θ)	I_rel
24.0	100
30.3	79
46.3	72
58.7	23
34.1	20
49.1	18
57.3	17
55.3	15
69.7	12
80.0	11

No. 3
For Cd2InF8, a PBE-relaxed structure gives the theoretical powder X-ray diffraction pattern in this record (Cu Kα).
Intensities are scaled so that the largest is 100.

Cell and atoms:
```
Cd2InF8
1.0
6.581 -1.798 0.000
6.581 1.798 0.000
-1.678 0.000 7.202
Cd In F
2 1 8
Cartesian
2.608 0.000 1.512 Cd
8.875 0.000 5.689 Cd
-0.839 0.000 3.601 In
0.432 0.000 1.999 F
1.967 0.000 4.440 F
2.604 0.000 7.039 F
4.858 0.000 2.677 F
6.625 0.000 4.525 F
8.879 0.000 0.163 F
9.517 0.000 2.762 F
11.051 0.000 5.203 F
```

Most intense lines, 15° ≤ 2θ ≤ 90°, most intense first:
Position (°2θ)	I_rel
29.3	100
20.5	73
25.5	72
27.8	68
44.3	49
44.6	39
50.8	28
33.1	26
25.7	26
43.3	25

No. 4
For Cd2InF5, a PBE-relaxed structure gives the theoretical powder X-ray diffraction pattern in this record (Cu Kα).
Intensities are scaled so that the largest is 100.

Cell and atoms:
```
Cd2InF5
1.0
2.132 -6.885 0.000
2.132 6.885 0.000
0.000 0.000 10.111
Cd In F
4 2 10
Cartesian
2.132 5.308 6.255 Cd
2.132 5.308 8.912 Cd
2.132 -5.308 1.199 Cd
2.132 -5.308 3.857 Cd
2.132 4.393 2.528 In
2.132 -4.393 7.583 In
2.132 5.831 0.968 F
2.132 5.831 4.088 F
2.132 2.928 1.004 F
2.132 2.928 4.052 F
2.132 2.400 7.583 F
2.132 -2.400 2.528 F
2.132 -2.928 6.059 F
2.132 -2.928 9.107 F
2.132 -5.831 6.024 F
2.132 -5.831 9.143 F
```

Most intense lines, 15° ≤ 2θ ≤ 90°, most intense first:
Position (°2θ)	I_rel
21.8	100
29.5	53
29.9	33
53.7	29
25.9	29
28.6	28
42.4	26
34.5	22
52.5	21
50.4	19

No. 5
For CdIn2F, a PBE-relaxed structure gives the theoretical powder X-ray diffraction pattern in this record (Cu Kα).
Intensities are scaled so that the largest is 100.

Cell and atoms:
```
CdIn2F
1.0
3.333 0.000 0.000
-1.666 2.886 0.000
0.000 0.000 28.327
Cd In F
3 6 3
Cartesian
0.000 0.000 0.000 Cd
0.000 1.924 18.885 Cd
1.666 0.962 9.442 Cd
0.000 0.000 16.132 In
0.000 0.000 21.610 In
0.000 1.924 6.690 In
0.000 1.924 12.167 In
1.666 0.962 2.725 In
1.666 0.962 25.574 In
0.000 0.000 5.100 F
0.000 1.924 23.984 F
1.666 0.962 14.542 F
```

Most intense lines, 15° ≤ 2θ ≤ 90°, most intense first:
Position (°2θ)	I_rel
34.9	100
33.5	61
28.4	37
55.1	33
38.3	29
31.2	29
63.1	22
44.8	21
61.4	16
38.1	15

No. 6
For CdInF4, a PBE-relaxed structure gives the theoretical powder X-ray diffraction pattern in this record (Cu Kα).
Intensities are scaled so that the largest is 100.

Cell and atoms:
```
CdInF4
1.0
5.578 0.000 0.000
0.000 5.375 0.000
0.000 0.000 12.259
Cd In F
4 4 16
Cartesian
0.347 0.070 0.000 Cd
2.441 2.757 6.130 Cd
3.136 2.618 0.000 Cd
5.230 5.306 6.130 Cd
0.614 2.633 2.935 In
2.175 5.321 9.065 In
3.403 0.054 2.935 In
4.964 2.742 9.065 In
0.318 4.480 10.148 F
0.591 3.559 5.021 F
1.169 3.636 7.859 F
1.287 3.545 0.900 F
1.502 0.857 7.030 F
1.620 0.948 1.729 F
2.198 0.871 11.150 F
2.471 1.792 4.018 F
3.107 3.583 10.148 F
3.380 4.504 5.021 F
3.958 4.427 7.859 F
4.076 4.518 0.900 F
4.291 1.831 7.030 F
4.409 1.739 1.729 F
4.987 1.816 11.150 F
5.260 0.895 4.018 F
```

Most intense lines, 15° ≤ 2θ ≤ 90°, most intense first:
Position (°2θ)	I_rel
27.2	100
24.1	31
44.9	23
50.5	22
29.1	20
56.0	16
32.9	15
33.3	15
47.6	14
52.6	12

Repeat the third record exactly.
For Cd2InF8, a PBE-relaxed structure gives the theoretical powder X-ray diffraction pattern in this record (Cu Kα).
Intensities are scaled so that the largest is 100.

Cell and atoms:
```
Cd2InF8
1.0
6.581 -1.798 0.000
6.581 1.798 0.000
-1.678 0.000 7.202
Cd In F
2 1 8
Cartesian
2.608 0.000 1.512 Cd
8.875 0.000 5.689 Cd
-0.839 0.000 3.601 In
0.432 0.000 1.999 F
1.967 0.000 4.440 F
2.604 0.000 7.039 F
4.858 0.000 2.677 F
6.625 0.000 4.525 F
8.879 0.000 0.163 F
9.517 0.000 2.762 F
11.051 0.000 5.203 F
```

Most intense lines, 15° ≤ 2θ ≤ 90°, most intense first:
Position (°2θ)	I_rel
29.3	100
20.5	73
25.5	72
27.8	68
44.3	49
44.6	39
50.8	28
33.1	26
25.7	26
43.3	25

Q: Which formula does entry 6 have?
A: CdInF4